Starting from a DFT-relaxed cell (GGA+U, Alexandria), the powder XRD pattern of Li3Mn5O10 was computed for CuKα.

Atomic structure:
```
Li3Mn5O10
1.0
5.1693 0.0000 0.0000
0.9779 5.1637 0.0000
2.4851 2.0750 6.9562
Li Mn O
3 5 10
Cartesian
0.0000 0.0000 0.0000
3.4593 3.8752 0.5086
5.1731 3.3635 6.4475
0.8833 2.4229 1.3655
1.7946 2.2381 4.1857
4.3162 3.6193 3.4781
6.8377 5.0006 2.7705
7.7491 4.8157 5.5906
1.4474 0.5943 1.1523
4.1348 5.1397 6.7258
2.4587 2.9715 2.4633
3.3241 5.3380 3.8317
3.3546 3.0335 5.1096
5.2777 4.2052 1.8466
5.3083 1.9007 3.1244
6.1737 4.2672 4.4928
4.4975 2.0989 0.2303
7.1849 6.6444 5.8039
```

Principal peaks in the range 15° ≤ 2θ ≤ 90°, in order of falling intensity:
hkl  d (Å)  two_theta  I_rel
-1 2 1  2.109  42.87  100
1 0 0  4.871  18.21  99
2 1 3  2.084  43.43  48
0 1 0  4.948  17.93  40
1 1 1  3.989  22.29  24
-1 1 1  3.000  29.79  20
1 0 2  3.308  26.95  18
1 2 1  2.489  36.08  17
1 0 5  1.451  64.19  16
0 2 1  2.575  34.84  16